Starting from a crystal structure in the Materials Project, relaxed with GGA-PBE, the powder diffractogram of W2C was simulated for a wavelength of 1.5418 Å.
Peak positions follow from Bragg's law for the DFT cell and can differ from measured ones.

Atomic structure:
Cell: 5.2569 5.2569 4.7794 Å, 90.00 90.00 120.00°
Sites, in units of the cell vectors:
W 0.0000 0.3320 0.2479
W 0.0000 0.6680 0.7521
W 0.3320 0.0000 0.2479
W 0.3320 0.3320 0.7521
W 0.6680 0.0000 0.7521
W 0.6680 0.6680 0.2479
C 0.0000 0.0000 0.0000
C 0.3333 0.6667 0.5000
C 0.6667 0.3333 0.5000

The 10 most intense peaks (2θ from 10° to 90°), most intense first:
two_theta  d/Å  I (rel.)
39.1  2.303  100
37.6  2.390  23
34.1  2.628  21
74.0  1.281  20
68.9  1.362  19
61.1  1.518  19
51.7  1.768  17
74.9  1.267  15
84.1  1.152  4
80.4  1.195  3

=====

Starting from a crystal structure in the Materials Project, relaxed with GGA-PBE, the powder diffractogram of Ba3Fe2N4 was simulated for a wavelength of 1.5418 Å.
Peak positions follow from Bragg's law for the DFT cell and can differ from measured ones.

Atomic structure:
Cell: 6.1073 10.1212 10.1231 Å, 90.00 90.00 90.00°
Sites, in units of the cell vectors:
Ba 0.1052 0.1582 0.0845
Ba 0.1052 0.3418 0.4155
Ba 0.2500 0.0000 0.4012
Ba 0.2500 0.5000 0.0988
Ba 0.3948 0.6582 0.4155
Ba 0.3948 0.8418 0.0845
Ba 0.6052 0.1582 0.9155
Ba 0.6052 0.3418 0.5845
Ba 0.7500 0.0000 0.5988
Ba 0.7500 0.5000 0.9012
Ba 0.8948 0.6582 0.5845
Ba 0.8948 0.8418 0.9155
Fe 0.1461 0.2500 0.7500
Fe 0.2500 0.0000 0.7323
Fe 0.2500 0.5000 0.7677
Fe 0.3539 0.7500 0.7500
Fe 0.6461 0.2500 0.2500
Fe 0.7500 0.0000 0.2677
Fe 0.7500 0.5000 0.2323
Fe 0.8539 0.7500 0.2500
N 0.0292 0.0871 0.8264
N 0.0292 0.4129 0.6736
N 0.1625 0.6418 0.8652
N 0.1625 0.8582 0.6348
N 0.3375 0.1418 0.6348
N 0.3375 0.3582 0.8652
N 0.4708 0.5871 0.6736
N 0.4708 0.9129 0.8264
N 0.5292 0.0871 0.1736
N 0.5292 0.4129 0.3264
N 0.6625 0.6418 0.1348
N 0.6625 0.8582 0.3652
N 0.8375 0.1418 0.3652
N 0.8375 0.3582 0.1348
N 0.9708 0.5871 0.3264
N 0.9708 0.9129 0.1736

The 10 most intense peaks (2θ from 10° to 90°), most intense first:
two_theta  d/Å  I (rel.)
30.3  2.954  100
27.9  3.201  91
35.2  2.551  73
31.6  2.835  61
35.5  2.531  53
30.6  2.923  45
31.9  2.809  31
42.6  2.122  30
47.3  1.922  29
54.4  1.687  27